The following is a calculated powder XRD pattern of K2PaTlCl8. It was derived from a GGA-PBE-relaxed structure, using Cu Kα (λ = 1.5418 Å).

```
data_K2PaTlCl8
_chemical_formula_sum 'K2 Pa1 Tl1 Cl8'
_cell_length_a 7.0317
_cell_length_b 9.7699
_cell_length_c 7.0968
_cell_angle_alpha 90.00
_cell_angle_beta 91.38
_cell_angle_gamma 90.00
_symmetry_space_group_name_H-M 'P 1 2/m 1'
_symmetry_Int_Tables_number 10
loop_
_symmetry_equiv_pos_as_xyz
'x,y,z'
'-x,-y,-z'
'-x,y,-z'
'x,-y,z'
loop_
_atom_site_label
_atom_site_type_symbol
_atom_site_fract_x
_atom_site_fract_y
_atom_site_fract_z
K1 K 0.0000 0.2253 0.0000
Pa1 Pa 0.5000 0.5000 0.5000
Tl1 Tl 0.5000 0.0000 0.5000
Cl1 Cl 0.1949 0.0000 0.2061
Cl2 Cl 0.2342 0.5000 0.2441
Cl3 Cl 0.3252 0.3135 0.6799
```

Peak list (10 most intense, 10° ≤ 2θ ≤ 90°, by angle)
two_theta	Rel. int.	hkl
12.48	703	0 0 1
12.59	668	1 0 0
17.54	762	1 0 -1
17.98	609	1 0 1
18.16	324	0 2 0
22.13	1000	0 2 1
25.35	693	1 2 -1
33.49	333	1 2 -2
33.63	300	2 2 -1
41.03	286	1 4 -1